# 1
For Tb3Nd8Dy, a DFT-relaxed cell (PBE, Alexandria) gives the simulated PXRD pattern in this record (Cu Kα (weighted mean of Kα1 and Kα2)).
Neutral-atom scattering factors, no anomalous dispersion.

```
Tb3Nd8Dy
1.0
3.5608 -5.7408 0.0000
3.5608 5.7408 0.0000
-3.5303 0.0000 9.9786
Tb Nd Dy
3 8 1
Direct
0.0000 0.0000 0.0000 Tb
0.0000 0.5000 0.5000 Tb
0.5000 0.0000 0.5000 Tb
0.0879 0.0879 0.6751 Nd
0.0949 0.5709 0.1658 Nd
0.4212 0.4212 0.3411 Nd
0.4291 0.9051 0.8342 Nd
0.5709 0.0949 0.1658 Nd
0.5788 0.5788 0.6589 Nd
0.9051 0.4291 0.8342 Nd
0.9121 0.9121 0.3249 Nd
0.5000 0.5000 0.0000 Dy
```

Principal peaks in the range 2θ from 10° to 90°, low angle first:
| d [Å] | I_rel |
| --- | --- |
| 2.897 | 94.8 |
| 2.876 | 100.0 |
| 2.040 | 28.6 |
| 1.780 | 8.4 |
| 1.667 | 12.1 |
| 1.663 | 30.3 |
| 1.659 | 12.4 |
| 1.516 | 9.7 |
| 1.513 | 19.2 |
| 1.439 | 7.8 |

=====

# 2
For BaAs3Pt3, a DFT-relaxed cell (PBE, Alexandria) gives the simulated PXRD pattern in this record (Cu Kα (weighted mean of Kα1 and Kα2)).
Neutral-atom scattering factors, no anomalous dispersion.

```
BaAs3Pt3
1.0
6.9569 0.0000 0.0000
0.0000 6.9569 0.0000
0.0000 0.0000 6.9569
Ba As Pt
2 6 6
Direct
0.0000 0.0000 0.0000 Ba
0.5000 0.5000 0.5000 Ba
0.0000 0.2500 0.5000 As
0.0000 0.7500 0.5000 As
0.2500 0.5000 0.0000 As
0.5000 0.0000 0.2500 As
0.5000 0.0000 0.7500 As
0.7500 0.5000 0.0000 As
0.0000 0.5000 0.2500 Pt
0.0000 0.5000 0.7500 Pt
0.2500 0.0000 0.5000 Pt
0.5000 0.2500 0.0000 Pt
0.5000 0.7500 0.0000 Pt
0.7500 0.0000 0.5000 Pt
```

Principal peaks in the range 2θ from 10° to 90°, low angle first:
| d [Å] | I_rel |
| --- | --- |
| 4.919 | 22.7 |
| 3.478 | 42.4 |
| 3.111 | 40.4 |
| 2.840 | 100.0 |
| 2.008 | 35.4 |
| 1.859 | 58.3 |
| 1.739 | 32.5 |
| 1.270 | 16.8 |
| 1.230 | 20.9 |
| 1.129 | 17.9 |